1.
Diffraction record for BPd6. The PXRD pattern is simulated, not measured: it uses a DFT-relaxed cell (GGA-PBE, Alexandria) and copper Kα.
Lines closer than 0.1° are merged.

Cell and atoms:
```
BPd6
1.0
0.000 4.020 8.626
2.914 0.000 8.626
2.914 4.020 0.000
B Pd
2 12
Direct
0.125 0.125 0.125 B
0.875 0.875 0.875 B
0.045 0.535 0.705 Pd
0.132 0.618 0.132 Pd
0.214 0.705 0.535 Pd
0.295 0.786 0.955 Pd
0.382 0.868 0.382 Pd
0.465 0.955 0.786 Pd
0.535 0.045 0.214 Pd
0.618 0.132 0.618 Pd
0.705 0.214 0.045 Pd
0.786 0.295 0.465 Pd
0.868 0.382 0.868 Pd
0.955 0.465 0.295 Pd
```

Largest 6 diffraction maxima, sorted by position, 2θ from 10° to 90°:
2θ/deg  d_spacing  I/Imax
38.15  2.359  100
38.49  2.339  98
44.26  2.047  68
45.11  2.010  32
65.04  1.434  42
77.13  1.237  24

2.
Diffraction record for BPd4. The PXRD pattern is simulated, not measured: it uses a DFT-relaxed cell (GGA-PBE, Alexandria) and copper Kα.
Lines closer than 0.1° are merged.

Cell and atoms:
```
BPd4
1.0
2.904 -5.817 0.000
2.904 5.817 0.000
-2.837 0.000 4.134
B Pd
2 8
Direct
0.180 0.820 0.750 B
0.820 0.180 0.250 B
0.068 0.440 0.758 Pd
0.198 0.314 0.249 Pd
0.314 0.198 0.749 Pd
0.440 0.068 0.258 Pd
0.560 0.932 0.742 Pd
0.686 0.802 0.251 Pd
0.802 0.686 0.751 Pd
0.932 0.560 0.242 Pd
```

Largest 6 diffraction maxima, sorted by position, 2θ from 10° to 90°:
2θ/deg  d_spacing  I/Imax
37.56  2.394  51
37.82  2.379  100
38.16  2.358  49
43.79  2.067  35
44.07  2.055  69
76.52  1.245  24

3.
Diffraction record for BPd4. The PXRD pattern is simulated, not measured: it uses a DFT-relaxed cell (GGA-PBE, Alexandria) and copper Kα.
Lines closer than 0.1° are merged.

Cell and atoms:
```
BPd4
1.0
2.862 0.000 0.000
0.000 4.373 0.000
0.000 0.000 5.894
B Pd
1 4
Direct
0.000 0.000 0.000 B
0.000 0.000 0.332 Pd
0.000 0.500 0.017 Pd
0.500 0.000 0.756 Pd
0.500 0.500 0.473 Pd
```

Largest 6 diffraction maxima, sorted by position, 2θ from 10° to 90°:
2θ/deg  d_spacing  I/Imax
34.85  2.575  45
36.78  2.444  82
40.66  2.219  100
41.29  2.187  41
55.10  1.667  23
56.84  1.620  20

4.
Diffraction record for BPd6. The PXRD pattern is simulated, not measured: it uses a DFT-relaxed cell (GGA-PBE, Alexandria) and copper Kα.
Lines closer than 0.1° are merged.

Cell and atoms:
```
BPd6
1.0
2.492 -4.299 0.000
2.492 4.299 0.000
-1.653 0.000 9.425
B Pd
2 12
Direct
0.082 0.918 0.750 B
0.918 0.082 0.250 B
0.040 0.215 0.622 Pd
0.125 0.618 0.878 Pd
0.215 0.040 0.122 Pd
0.300 0.466 0.378 Pd
0.382 0.875 0.622 Pd
0.466 0.300 0.878 Pd
0.534 0.700 0.122 Pd
0.618 0.125 0.378 Pd
0.700 0.534 0.622 Pd
0.785 0.960 0.878 Pd
0.875 0.382 0.122 Pd
0.960 0.785 0.378 Pd
```

Largest 6 diffraction maxima, sorted by position, 2θ from 10° to 90°:
2θ/deg  d_spacing  I/Imax
38.19  2.356  34
38.37  2.346  100
44.46  2.038  23
44.59  2.032  45
64.71  1.441  22
77.78  1.228  20